Diffraction record for PaCrBiO6. The X-ray powder pattern is calculated, not measured: it uses DFT lattice parameters and positions (PBE+U) and Cu Kα.

Peak list (10 most intense, 2θ from 10° to 90°, by intensity)
index, Position (°2θ), I_rel
1 0 2, 26.24, 100
1 1 0, 32.60, 46
1 1 4, 50.18, 40
2 0 2, 42.32, 28
1 0 1, 20.79, 28
2 1 2, 54.41, 27
3 0 0, 58.16, 15
4 -1 2, 74.52, 11
1 0 3, 33.51, 10
4 -2 4, 80.34, 10

Structural model:
Cell: 5.494 5.494 9.699 Å, 90.00 90.00 120.00°
Atoms (fractional coordinates):
Pa 0.333 0.667 0.250
Pa 0.667 0.333 0.750
Cr 0.333 0.667 0.750
Cr 0.667 0.333 0.250
Bi 0.000 0.000 0.000
Bi 0.000 0.000 0.500
O 0.023 0.364 0.638
O 0.023 0.658 0.862
O 0.342 0.364 0.862
O 0.342 0.977 0.638
O 0.364 0.023 0.138
O 0.364 0.342 0.362
O 0.636 0.658 0.638
O 0.636 0.977 0.862
O 0.658 0.023 0.362
O 0.658 0.636 0.138
O 0.977 0.342 0.138
O 0.977 0.636 0.362